Record 1
Computed XRD peak list of Tm5In2Ni2 for Cu Kα (λ = 1.5418 Å), from a PBE-relaxed structure.
Lines closer than 0.1° are merged.

The 8 most intense peaks (10 to 90 degrees two-theta), by angle:
| two_theta | d/Å | I/Imax |
| --- | --- | --- |
| 32.31 | 2.771 | 78 |
| 32.47 | 2.758 | 74 |
| 33.57 | 2.669 | 59 |
| 34.82 | 2.576 | 100 |
| 38.45 | 2.341 | 41 |
| 39.44 | 2.285 | 45 |
| 40.61 | 2.222 | 31 |
| 60.99 | 1.519 | 39 |

Structure:
abc: 9.005 9.005 7.046
angles: 90.00 90.00 49.46
Sites, in units of the cell vectors:
Tm1 0.000 0.000 0.000
Tm2 0.065 0.704 0.669
Tm3 0.204 0.565 0.169
Tm4 0.296 0.935 0.669
Tm5 0.435 0.796 0.169
Tm6 0.500 0.500 0.500
Tm7 0.565 0.204 0.831
Tm8 0.704 0.065 0.331
Tm9 0.796 0.435 0.831
Tm10 0.935 0.296 0.331
In1 0.227 0.227 0.000
In2 0.273 0.273 0.500
In3 0.727 0.727 0.500
In4 0.773 0.773 0.000
Ni1 0.125 0.875 0.379
Ni2 0.375 0.625 0.879
Ni3 0.625 0.375 0.121
Ni4 0.875 0.125 0.621

Record 2
Computed XRD peak list of TmInNi5 for Cu Kα (λ = 1.5418 Å), from a PBE-relaxed structure.
Lines closer than 0.1° are merged.

The 8 most intense peaks (10 to 90 degrees two-theta), by angle:
| two_theta | d/Å | I/Imax |
| --- | --- | --- |
| 32.04 | 2.794 | 40 |
| 36.68 | 2.450 | 44 |
| 37.36 | 2.407 | 40 |
| 39.27 | 2.294 | 84 |
| 39.47 | 2.283 | 100 |
| 44.76 | 2.025 | 33 |
| 45.96 | 1.975 | 61 |
| 47.51 | 1.914 | 40 |

Structure:
abc: 8.039 4.814 10.290
angles: 90.00 90.00 90.00
Sites, in units of the cell vectors:
Tm1 0.248 0.250 0.062
Tm2 0.252 0.750 0.562
Tm3 0.748 0.250 0.438
Tm4 0.752 0.750 0.938
In1 0.137 0.250 0.363
In2 0.363 0.750 0.863
In3 0.637 0.250 0.137
In4 0.863 0.750 0.637
Ni1 0.046 0.250 0.604
Ni2 0.066 0.501 0.811
Ni3 0.066 0.999 0.811
Ni4 0.083 0.750 0.017
Ni5 0.190 0.750 0.240
Ni6 0.310 0.250 0.740
Ni7 0.417 0.250 0.517
Ni8 0.434 0.001 0.311
Ni9 0.434 0.499 0.311
Ni10 0.454 0.750 0.104
Ni11 0.546 0.250 0.896
Ni12 0.566 0.501 0.689
Ni13 0.566 0.999 0.689
Ni14 0.583 0.750 0.483
Ni15 0.690 0.750 0.260
Ni16 0.810 0.250 0.760
Ni17 0.917 0.250 0.983
Ni18 0.934 0.001 0.189
Ni19 0.934 0.499 0.189
Ni20 0.954 0.750 0.396

Record 3
Computed XRD peak list of Tm5InNi2 for Cu Kα (λ = 1.5418 Å), from a PBE-relaxed structure.
Lines closer than 0.1° are merged.

The 8 most intense peaks (10 to 90 degrees two-theta), by angle:
| two_theta | d/Å | I/Imax |
| --- | --- | --- |
| 27.20 | 3.279 | 41 |
| 31.67 | 2.826 | 36 |
| 33.31 | 2.690 | 100 |
| 35.95 | 2.498 | 50 |
| 37.61 | 2.392 | 69 |
| 43.25 | 2.092 | 21 |
| 58.76 | 1.571 | 28 |
| 68.72 | 1.366 | 21 |

Structure:
abc: 8.538 8.538 8.538
angles: 127.42 127.42 77.56
Sites, in units of the cell vectors:
Tm1 0.000 0.000 0.000
Tm2 0.027 0.527 0.822
Tm3 0.205 0.027 0.500
Tm4 0.295 0.795 0.822
Tm5 0.473 0.295 0.500
Tm6 0.500 0.500 0.000
Tm7 0.527 0.705 0.500
Tm8 0.705 0.205 0.178
Tm9 0.795 0.973 0.500
Tm10 0.973 0.473 0.178
In1 0.250 0.250 0.000
In2 0.750 0.750 0.000
Ni1 0.128 0.372 0.500
Ni2 0.372 0.872 0.245
Ni3 0.628 0.128 0.755
Ni4 0.872 0.628 0.500

Record 4
Computed XRD peak list of Tm8InNi2 for Cu Kα (λ = 1.5418 Å), from a PBE-relaxed structure.
Lines closer than 0.1° are merged.

The 8 most intense peaks (10 to 90 degrees two-theta), by angle:
| two_theta | d/Å | I/Imax |
| --- | --- | --- |
| 27.36 | 3.260 | 26 |
| 30.98 | 2.886 | 76 |
| 32.49 | 2.756 | 100 |
| 33.59 | 2.668 | 64 |
| 34.80 | 2.578 | 76 |
| 35.15 | 2.553 | 45 |
| 38.44 | 2.342 | 30 |
| 54.51 | 1.683 | 28 |

Structure:
abc: 7.845 7.845 5.215
angles: 97.61 97.61 113.81
Sites, in units of the cell vectors:
Tm1 0.074 0.332 0.577
Tm2 0.249 0.751 0.000
Tm3 0.332 0.074 0.577
Tm4 0.391 0.391 0.197
Tm5 0.609 0.609 0.803
Tm6 0.668 0.926 0.423
Tm7 0.751 0.249 0.000
Tm8 0.926 0.668 0.423
In1 0.000 0.000 0.000
Ni1 0.308 0.692 0.500
Ni2 0.692 0.308 0.500

Record 5
Computed XRD peak list of Tm2In5Ni3 for Cu Kα (λ = 1.5418 Å), from a PBE-relaxed structure.
Lines closer than 0.1° are merged.

The 8 most intense peaks (10 to 90 degrees two-theta), by angle:
| two_theta | d/Å | I/Imax |
| --- | --- | --- |
| 32.82 | 2.729 | 20 |
| 34.27 | 2.616 | 100 |
| 36.78 | 2.444 | 19 |
| 37.47 | 2.400 | 18 |
| 41.95 | 2.154 | 27 |
| 56.99 | 1.616 | 13 |
| 64.64 | 1.442 | 16 |
| 71.71 | 1.316 | 11 |

Structure:
abc: 13.186 13.186 7.119
angles: 90.00 90.00 161.20
Sites, in units of the cell vectors:
Tm1 0.024 0.976 0.500
Tm2 0.326 0.674 0.585
Tm3 0.674 0.326 0.085
Tm4 0.976 0.024 0.000
In1 0.096 0.904 0.879
In2 0.207 0.793 0.381
In3 0.209 0.791 0.792
In4 0.375 0.625 0.034
In5 0.447 0.553 0.669
In6 0.553 0.447 0.169
In7 0.625 0.375 0.534
In8 0.791 0.209 0.292
In9 0.793 0.207 0.881
In10 0.904 0.096 0.379
Ni1 0.111 0.889 0.258
Ni2 0.271 0.729 0.089
Ni3 0.457 0.543 0.278
Ni4 0.543 0.457 0.778
Ni5 0.729 0.271 0.589
Ni6 0.889 0.111 0.758